Record 1
Computed powder diffractogram of Ni13W16 for Cu Kα, from a DFT-relaxed cell (PBE, OQMD).
Kinematic intensities with the Lorentz-polarization factor, no thermal factor.

```
Ni13W16
1.0
-4.685 4.685 4.685
4.685 -4.685 4.685
4.685 4.685 -4.685
Ni W
13 16
Direct
0.000 0.000 0.000 Ni
0.000 0.412 0.684 Ni
0.000 0.684 0.412 Ni
0.272 0.588 0.588 Ni
0.316 0.316 0.728 Ni
0.316 0.728 0.316 Ni
0.412 0.000 0.684 Ni
0.412 0.684 0.000 Ni
0.588 0.272 0.588 Ni
0.588 0.588 0.272 Ni
0.684 0.000 0.412 Ni
0.684 0.412 0.000 Ni
0.728 0.316 0.316 Ni
0.000 0.000 0.642 W
0.000 0.199 0.391 W
0.000 0.391 0.199 W
0.000 0.642 0.000 W
0.192 0.801 0.801 W
0.199 0.000 0.391 W
0.199 0.391 0.000 W
0.358 0.358 0.358 W
0.391 0.000 0.199 W
0.391 0.199 0.000 W
0.609 0.609 0.808 W
0.609 0.808 0.609 W
0.642 0.000 0.000 W
0.801 0.192 0.801 W
0.801 0.801 0.192 W
0.808 0.609 0.609 W
```

Largest 10 diffraction maxima, in order of rising 2θ, 2θ from 5° to 70°:
d [Å]	I_rel
3.825	23
2.705	17
2.504	17
2.342	14
2.208	100
1.998	49
1.913	12
1.838	27
1.520	6
1.352	7


Record 2
Computed powder diffractogram of Sm2Dy2CBrCl4 for Cu Kα, from a DFT-relaxed cell (PBE, OQMD).
Kinematic intensities with the Lorentz-polarization factor, no thermal factor.

```
Sm2Dy2CBrCl4
1.0
8.628 -1.890 0.000
8.628 1.890 0.000
-2.053 0.000 7.804
Sm Dy C Br Cl
2 2 1 1 4
Direct
0.147 0.147 0.085 Sm
0.853 0.853 0.915 Sm
0.499 0.499 0.203 Dy
0.501 0.501 0.797 Dy
0.000 0.000 0.000 C
0.000 0.000 0.500 Br
0.332 0.332 0.162 Cl
0.338 0.338 0.658 Cl
0.662 0.662 0.342 Cl
0.668 0.668 0.838 Cl
```

Largest 10 diffraction maxima, in order of rising 2θ, 2θ from 5° to 70°:
d [Å]	I_rel
8.344	70
7.804	72
3.127	28
3.057	26
2.781	49
2.769	33
2.758	100
1.973	29
1.944	31
1.890	19


Record 3
Computed powder diffractogram of Zr2CoBi for Cu Kα, from a DFT-relaxed cell (PBE, OQMD).
Kinematic intensities with the Lorentz-polarization factor, no thermal factor.

```
Zr2CoBi
1.0
0.000 3.436 3.436
3.436 0.000 3.436
3.436 3.436 0.000
Zr Co Bi
2 1 1
Direct
0.000 0.000 0.000 Zr
0.250 0.250 0.250 Zr
0.750 0.750 0.750 Co
0.500 0.500 0.500 Bi
```

Largest 9 diffraction maxima, in order of rising 2θ, 2θ from 5° to 70°:
d [Å]	I_rel
3.967	15
3.436	12
2.429	100
2.072	9
1.983	4
1.718	17
1.576	4
1.536	5
1.403	35